Structure and simulated powder diffractogram of LiOs2Cl11 (a crystal structure in Alexandria, relaxed with PBE; Cu Kα X-rays).
Peak positions follow from Bragg's law for the DFT cell and can differ from measured ones.

Top 10 peaks for 2θ from 10° to 90°, in order of falling intensity:
| 2theta | I/Imax | h k l |
| --- | --- | --- |
| 14.23 | 100 | 0 2 0 |
| 11.87 | 89 | 2 0 0 |
| 16.61 | 67 | 3 1 -1 |
| 16.07 | 61 | 1 1 1 |
| 19.46 | 39 | 1 1 -2 |
| 18.57 | 35 | 2 2 0 |
| 33.75 | 26 | 5 3 -1 |
| 19.90 | 25 | 3 1 -2 |
| 10.28 | 23 | 0 0 1 |
| 10.69 | 20 | 2 0 -1 |

Structural model:
Cell: 17.737 12.451 10.244 Å, 90.00 122.82 90.00°
Space group Cm (No. 8)
Asymmetric unit:
Li  0.000  0.174  0.000 x4
Os  0.066  0.000  0.803 x2
Os  0.076  0.500  0.550 x2
Os  0.423  0.500  0.273 x2
Os  0.448  0.000  0.836 x2
Cl  0.010  0.134  0.252 x4
Cl  0.037  0.365  0.022 x4
Cl  0.052  0.000  0.556 x2
Cl  0.067  0.500  0.787 x2
Cl  0.089  0.000  0.052 x2
Cl  0.098  0.500  0.354 x2
Cl  0.170  0.133  0.881 x4
Cl  0.184  0.369  0.680 x4
Cl  0.327  0.500  0.014 x2
Cl  0.350  0.371  0.317 x4
Cl  0.356  0.000  0.926 x2
Cl  0.368  0.128  0.656 x4
Cl  0.454  0.371  0.730 x4
Cl  0.468  0.129  0.440 x4

---

Structure and simulated powder diffractogram of LiOsCl6 (a crystal structure in Alexandria, relaxed with PBE; Cu Kα X-rays).
Peak positions follow from Bragg's law for the DFT cell and can differ from measured ones.

Top 10 peaks for 2θ from 10° to 90°, in order of falling intensity:
| 2theta | I/Imax | h k l |
| --- | --- | --- |
| 17.08 | 100 | 1 0 1 |
| 19.36 | 78 | 0 1 2 |
| 32.56 | 62 | 2 -1 3 |
| 43.03 | 39 | 2 -1 6 |
| 15.69 | 39 | 0 0 3 |
| 26.65 | 27 | 1 0 4 |
| 50.19 | 20 | 3 0 0 |
| 56.99 | 18 | 1 1 9 |
| 31.08 | 15 | 0 1 5 |
| 45.28 | 14 | 3 -2 2 |

Structural model:
Cell: 6.2963 6.2963 16.9397 Å, 90.00 90.00 120.00°
Space group R-3 (No. 148, hexagonal axes)
Asymmetric unit:
Li  0.0000  0.0000  0.0000 x3
Os  0.0000  0.0000  0.5000 x3
Cl  0.0030  0.3035  0.5788 x18

---

Structure and simulated powder diffractogram of Rb2LiOsCl6 (a crystal structure in Alexandria, relaxed with PBE; Cu Kα X-rays).
Peak positions follow from Bragg's law for the DFT cell and can differ from measured ones.

Top 10 peaks for 2θ from 10° to 90°, in order of falling intensity:
| 2theta | I/Imax | h k l |
| --- | --- | --- |
| 24.98 | 100 | 1 1 0 |
| 15.19 | 99 | 0 1 2 |
| 17.49 | 73 | 1 0 4 |
| 31.59 | 65 | 2 0 5 |
| 14.96 | 57 | 0 0 6 |
| 33.98 | 57 | 0 2 7 |
| 29.24 | 53 | 1 1 6 |
| 51.25 | 50 | 2 2 0 |
| 28.99 | 47 | 1 0 10 |
| 24.69 | 47 | 0 1 8 |

Structural model:
Cell: 7.1299 7.1299 35.5430 Å, 90.00 90.00 120.00°
Space group R-3m (No. 166, hexagonal axes)
Asymmetric unit:
Rb  0.0000  0.0000  0.1252 x6
Rb  0.0000  0.0000  0.2943 x6
Li  0.0000  0.0000  0.4168 x6
Os  0.0000  0.0000  0.0000 x3
Os  0.0000  0.0000  0.5000 x3
Cl  0.0180  0.5090  0.7056 x18
Cl  0.0195  0.5097  0.1273 x18

---

Structure and simulated powder diffractogram of LiPCl (a crystal structure in Alexandria, relaxed with PBE; Cu Kα X-rays).
Peak positions follow from Bragg's law for the DFT cell and can differ from measured ones.

Top 10 peaks for 2θ from 10° to 90°, in order of falling intensity:
| 2theta | I/Imax | h k l |
| --- | --- | --- |
| 33.36 | 100 | 2 0 2 |
| 51.28 | 62 | 3 1 0 |
| 30.09 | 61 | 2 0 -1 |
| 24.50 | 52 | 0 0 3 |
| 44.34 | 36 | 2 0 -4 |
| 57.60 | 22 | 3 1 -3 |
| 62.54 | 13 | 2 2 2 |
| 28.92 | 13 | 2 0 0 |
| 85.01 | 12 | 5 1 2 |
| 67.36 | 10 | 2 0 -7 |

Structural model:
Cell: 6.174 3.565 10.899 Å, 90.00 90.08 90.00°
Space group Cm (No. 8)
Asymmetric unit:
Li  0.000  0.000  0.000 x2
Li  0.164  0.500  0.311 x2
P  0.165  0.500  0.555 x2
P  0.499  0.500  0.663 x2
Cl  0.333  0.000  0.912 x2
Cl  0.497  0.500  0.225 x2

---

Structure and simulated powder diffractogram of LiPCl (a crystal structure in Alexandria, relaxed with PBE; Cu Kα X-rays).
Peak positions follow from Bragg's law for the DFT cell and can differ from measured ones.

Top 10 peaks for 2θ from 10° to 90°, in order of falling intensity:
| 2theta | I/Imax | h k l |
| --- | --- | --- |
| 24.48 | 100 | 0 0 3 |
| 28.63 | 88 | 2 0 1 |
| 31.67 | 69 | 1 1 -2 |
| 26.05 | 66 | 2 0 -2 |
| 16.25 | 64 | 0 0 2 |
| 45.68 | 52 | 3 1 -1 |
| 41.58 | 47 | 1 1 -4 |
| 31.16 | 46 | 1 1 1 |
| 29.24 | 34 | 1 1 -1 |
| 54.39 | 28 | 1 1 5 |

Structural model:
Cell: 7.339 3.413 11.340 Å, 90.00 105.85 90.00°
Space group C2 (No. 5)
Asymmetric unit:
Li  0.194  0.000  0.095 x4
P  0.202  0.493  0.547 x4
Cl  0.094  0.000  0.866 x4

---

Structure and simulated powder diffractogram of Li5PS4Cl2 (a crystal structure in Alexandria, relaxed with PBE; Cu Kα X-rays).
Peak positions follow from Bragg's law for the DFT cell and can differ from measured ones.

Top 10 peaks for 2θ from 10° to 90°, in order of falling intensity:
| 2theta | I/Imax | h k l |
| --- | --- | --- |
| 29.60 | 100 | 0 3 1 |
| 30.07 | 85 | 2 1 1 |
| 42.73 | 45 | 2 2 2 |
| 20.98 | 37 | 1 2 0 |
| 52.79 | 27 | 2 5 1 |
| 16.99 | 26 | 0 1 1 |
| 59.63 | 20 | 4 3 1 |
| 24.63 | 14 | 2 0 0 |
| 50.50 | 13 | 4 0 0 |
| 38.88 | 13 | 2 3 1 |

Structural model:
Cell: 7.229 10.471 6.019 Å, 90.00 90.00 90.00°
Space group Amm2 (No. 38)
Asymmetric unit:
Li  0.000  0.000  0.000 x2
Li  0.254  0.193  0.488 x8
P  0.500  0.000  0.943 x2
S  0.268  0.000  0.743 x4
S  0.500  0.160  0.144 x4
Cl  0.000  0.177  0.235 x4

---

Structure and simulated powder diffractogram of Li6PS5Cl (a crystal structure in Alexandria, relaxed with PBE; Cu Kα X-rays).
Peak positions follow from Bragg's law for the DFT cell and can differ from measured ones.

Top 10 peaks for 2θ from 10° to 90°, in order of falling intensity:
| 2theta | I/Imax | h k l |
| --- | --- | --- |
| 28.77 | 100 | 3 1 1 |
| 24.46 | 78 | 2 2 0 |
| 30.08 | 70 | 2 2 2 |
| 50.14 | 66 | 4 4 0 |
| 14.91 | 56 | 1 1 1 |
| 45.81 | 36 | 5 1 1 |
| 43.06 | 28 | 4 2 2 |
| 59.59 | 22 | 6 2 2 |
| 70.25 | 18 | 7 3 1 |
| 17.23 | 17 | 2 0 0 |

Structural model:
Cell: 10.292 10.292 10.292 Å, 90.00 90.00 90.00°
Space group F-43m (No. 216)
Asymmetric unit:
Li  0.000  0.000  0.227 x24
P  0.250  0.250  0.750 x4
S  0.000  0.000  0.000 x4
S  0.135  0.135  0.635 x16
Cl  0.250  0.250  0.250 x4

---

Structure and simulated powder diffractogram of Li4PaCl8 (a crystal structure in Alexandria, relaxed with PBE; Cu Kα X-rays).
Peak positions follow from Bragg's law for the DFT cell and can differ from measured ones.

Top 10 peaks for 2θ from 10° to 90°, in order of falling intensity:
| 2theta | I/Imax | h k l |
| --- | --- | --- |
| 13.72 | 100 | 1 1 1 |
| 26.43 | 86 | 3 1 1 |
| 15.85 | 85 | 2 0 0 |
| 22.49 | 70 | 2 2 0 |
| 27.63 | 68 | 2 2 2 |
| 34.97 | 54 | 3 3 1 |
| 45.90 | 49 | 4 4 0 |
| 41.98 | 46 | 5 1 1 |
| 35.91 | 37 | 4 2 0 |
| 48.14 | 32 | 5 3 1 |

Structural model:
Cell: 11.183 11.183 11.183 Å, 90.00 90.00 90.00°
Space group F-43m (No. 216)
Asymmetric unit:
Li  0.093  0.093  0.407 x16
Pa  0.000  0.000  0.000 x4
Cl  0.115  0.115  0.615 x16
Cl  0.131  0.131  0.131 x16

---

Structure and simulated powder diffractogram of Li2PaTlCl8 (a crystal structure in Alexandria, relaxed with PBE; Cu Kα X-rays).
Peak positions follow from Bragg's law for the DFT cell and can differ from measured ones.

Top 10 peaks for 2θ from 10° to 90°, in order of falling intensity:
| 2theta | I/Imax | h k l |
| --- | --- | --- |
| 14.21 | 100 | 1 0 0 |
| 23.65 | 54 | 1 0 -2 |
| 29.15 | 53 | 1 -1 2 |
| 18.04 | 40 | 1 1 0 |
| 18.80 | 34 | 0 0 2 |
| 35.15 | 34 | 2 1 2 |
| 29.42 | 30 | 1 2 0 |
| 34.49 | 25 | 0 2 2 |
| 22.07 | 23 | 1 -1 0 |
| 39.69 | 21 | -2 1 2 |

Structural model:
Cell: 6.353 6.359 9.439 Å, 89.90 89.88 78.66°
Space group P-1 (No. 2)
Asymmetric unit:
Li  0.000  0.000  0.158 x2
Pa  0.500  0.500  0.500 x1
Tl  0.500  0.500  0.000 x1
Cl  0.182  0.177  0.999 x2
Cl  0.250  0.241  0.500 x2
Cl  0.273  0.720  0.698 x2
Cl  0.274  0.721  0.303 x2

---

Structure and simulated powder diffractogram of Li3Pb6Cl14 (a crystal structure in Alexandria, relaxed with PBE; Cu Kα X-rays).
Peak positions follow from Bragg's law for the DFT cell and can differ from measured ones.

Top 10 peaks for 2θ from 10° to 90°, in order of falling intensity:
| 2theta | I/Imax | h k l |
| --- | --- | --- |
| 38.53 | 100 | 1 3 1 |
| 24.09 | 82 | 2 0 1 |
| 16.97 | 71 | 1 0 1 |
| 45.96 | 48 | 5 -2 1 |
| 64.29 | 47 | 1 5 2 |
| 21.97 | 47 | 2 -1 1 |
| 32.83 | 40 | 3 0 1 |
| 34.33 | 36 | 0 2 2 |
| 26.05 | 36 | 2 1 0 |
| 69.71 | 30 | 7 -6 1 |

Structural model:
Cell: 10.4508 10.4508 6.3951 Å, 90.00 90.00 120.00°
Space group P3 (No. 143)
Asymmetric unit:
Li  0.0000  0.0000  0.0000 x1
Li  0.3333  0.6667  0.1139 x1
Li  0.6667  0.3333  0.4853 x1
Pb  0.0992  0.2983  0.4351 x3
Pb  0.4585  0.4193  0.9214 x3
Cl  0.0000  0.0000  0.6327 x1
Cl  0.0985  0.5750  0.3411 x3
Cl  0.1821  0.4296  0.8796 x3
Cl  0.2339  0.1494  0.1594 x3
Cl  0.4346  0.1763  0.6467 x3
Cl  0.6667  0.3333  0.1191 x1

---

> Which formula does entry 9 have?

Li2PaTlCl8